No. 1
For Li3Co2Si2O8, a structure optimized by DFT (GGA+U) gives the theoretical powder X-ray diffraction pattern in this record (a wavelength of 1.5418 Å).
Kinematic intensities with the Lorentz-polarization factor, no thermal factor.

Main lines, by intensity (2θ from 5° to 70°):
| hkl | Position (°2θ) | I_rel |
| --- | --- | --- |
| 0 0 1 | 13.5 | 100 |
| 2 0 0 | 35.8 | 39 |
| 0 1 -1 | 21.3 | 37 |
| 0 2 0 | 33.6 | 31 |
| 1 1 1 | 28.2 | 28 |
| -1 1 1 | 28.0 | 26 |
| 0 1 2 | 32.3 | 21 |
| 1 0 -1 | 22.3 | 19 |
| 1 -1 1 | 27.9 | 18 |
| 1 0 1 | 22.4 | 18 |

Crystal structure
```
Li3Co2Si2O8
1.0
5.013 0.000 0.000
-0.034 5.330 0.000
-0.034 -0.091 6.556
Li Co Si O
3 2 2 8
Cartesian
0.000 0.000 0.000 Li
-0.030 2.596 5.046 Li
2.502 3.591 0.008 Li
0.042 0.088 3.164 Co
2.519 3.435 3.254 Co
2.551 0.766 4.913 Si
4.936 2.758 1.562 Si
0.317 1.147 1.709 O
0.497 3.528 2.991 O
0.545 3.413 0.222 O
0.871 0.697 4.754 O
2.994 2.354 4.833 O
3.076 -0.035 6.184 O
3.175 -0.012 3.542 O
3.325 2.920 1.614 O
```


No. 2
For HoMn2O5, a structure optimized by DFT (GGA+U) gives the theoretical powder X-ray diffraction pattern in this record (a wavelength of 1.5418 Å).
Kinematic intensities with the Lorentz-polarization factor, no thermal factor.

Main lines, by intensity (2θ from 5° to 70°):
| hkl | Position (°2θ) | I_rel |
| --- | --- | --- |
| 2 1 1 | 30.7 | 100 |
| 1 2 1 | 28.7 | 67 |
| 0 0 1 | 15.3 | 44 |
| 1 3 0 | 33.7 | 39 |
| 2 1 2 | 41.2 | 28 |
| 2 1 3 | 54.9 | 27 |
| 1 1 2 | 35.0 | 26 |
| 3 3 2 | 59.2 | 22 |
| 1 3 2 | 46.4 | 18 |
| 1 4 1 | 47.0 | 17 |

Crystal structure
```
HoMn2O5
1.0
7.324 0.000 0.000
0.000 8.553 0.000
0.000 0.000 5.784
Ho Mn O
4 8 20
Cartesian
1.010 1.459 0.000 Ho
2.652 5.735 0.000 Ho
4.672 2.818 0.000 Ho
6.314 7.094 0.000 Ho
0.000 4.277 1.465 Mn
0.000 4.277 4.318 Mn
0.645 7.258 2.892 Mn
3.017 2.981 2.892 Mn
3.662 0.000 1.465 Mn
3.662 0.000 4.318 Mn
4.307 5.572 2.892 Mn
6.679 1.295 2.892 Mn
0.000 0.000 1.556 O
0.000 0.000 4.228 O
0.781 6.049 1.385 O
0.781 6.049 4.399 O
1.111 3.688 2.892 O
1.206 3.785 0.000 O
2.456 8.061 0.000 O
2.551 7.965 2.892 O
2.881 1.773 1.385 O
2.881 1.773 4.399 O
3.662 4.277 1.556 O
3.662 4.277 4.228 O
4.443 6.780 1.385 O
4.443 6.780 4.399 O
4.772 0.588 2.892 O
4.868 0.492 0.000 O
6.118 4.768 0.000 O
6.213 4.865 2.892 O
6.542 2.504 1.385 O
6.542 2.504 4.399 O
```


No. 3
For Li4FeP2O8, a structure optimized by DFT (GGA+U) gives the theoretical powder X-ray diffraction pattern in this record (a wavelength of 1.5418 Å).
Kinematic intensities with the Lorentz-polarization factor, no thermal factor.

Main lines, by intensity (2θ from 5° to 70°):
| hkl | Position (°2θ) | I_rel |
| --- | --- | --- |
| 0 1 -1 | 21.3 | 100 |
| 0 1 0 | 17.2 | 65 |
| 1 0 1 | 24.3 | 54 |
| 1 -2 0 | 36.8 | 32 |
| 1 1 1 | 32.3 | 30 |
| 1 0 -2 | 32.8 | 30 |
| 1 1 -2 | 37.3 | 26 |
| 1 0 2 | 35.8 | 24 |
| -1 1 1 | 27.3 | 21 |
| 0 0 1 | 14.3 | 20 |

Crystal structure
```
Li4FeP2O8
1.0
4.947 0.000 0.000
-0.772 5.182 0.000
-0.505 -0.592 6.195
Li Fe P O
4 1 2 8
Cartesian
0.319 1.804 1.836 Li
0.657 3.081 6.099 Li
3.014 1.509 0.096 Li
3.351 2.786 4.358 Li
2.221 -0.296 3.097 Fe
0.137 0.471 4.766 P
3.533 4.118 1.429 P
0.137 4.035 1.616 O
-0.072 4.196 4.667 O
0.504 1.094 6.136 O
0.844 1.266 3.623 O
2.826 3.323 2.572 O
3.166 3.495 0.059 O
3.743 0.393 1.528 O
3.533 0.554 4.579 O
```


No. 4
For MnPH15C3NCl3O3, a structure optimized by DFT (GGA+U) gives the theoretical powder X-ray diffraction pattern in this record (a wavelength of 1.5418 Å).
Kinematic intensities with the Lorentz-polarization factor, no thermal factor.

Main lines, by intensity (2θ from 5° to 70°):
| hkl | Position (°2θ) | I_rel |
| --- | --- | --- |
| 0 2 0 | 16.0 | 100 |
| 1 2 -1 | 22.5 | 84 |
| 1 0 0 | 13.7 | 78 |
| 1 1 -1 | 17.6 | 74 |
| 2 3 -1 | 37.2 | 63 |
| 0 0 1 | 10.3 | 62 |
| 1 1 2 | 27.9 | 56 |
| 1 3 -1 | 28.9 | 52 |
| 2 3 2 | 45.1 | 47 |
| 0 1 3 | 32.1 | 42 |

Crystal structure
```
MnPH15C3NCl3O3
1.0
6.543 0.000 0.000
0.000 11.091 0.000
-1.468 0.000 8.621
Mn P H C N Cl O
2 2 30 6 2 6 6
Cartesian
-0.493 0.000 3.159 Mn
5.568 5.545 5.462 Mn
0.668 11.067 6.436 P
4.407 5.522 2.186 P
-0.283 3.312 1.732 H
-1.275 9.696 8.374 H
-0.693 1.219 7.957 H
-0.617 8.133 8.256 H
0.554 7.764 4.294 H
0.261 2.294 6.880 H
0.750 3.478 4.421 H
2.082 5.694 1.752 H
1.473 7.063 5.341 H
1.055 1.442 8.263 H
1.290 8.827 7.100 H
1.610 4.139 5.555 H
1.117 9.895 8.528 H
2.410 4.823 3.300 H
2.562 6.599 3.223 H
2.513 1.054 5.398 H
2.665 10.368 5.321 H
3.958 4.350 0.094 H
3.465 9.684 3.066 H
3.785 3.282 1.522 H
4.020 6.987 0.358 H
2.993 0.148 6.869 H
3.602 1.518 3.280 H
4.325 9.023 4.201 H
4.814 7.839 1.741 H
4.521 2.218 4.327 H
5.692 2.587 0.365 H
5.768 6.764 0.664 H
6.350 4.151 0.248 H
5.358 8.857 6.890 H
0.284 1.378 7.483 C
0.677 9.610 7.562 C
2.695 5.667 2.665 C
2.381 0.122 5.957 C
4.398 4.065 1.059 C
4.791 6.923 1.138 C
-0.686 9.054 7.787 N
5.761 3.509 0.834 N
-0.271 5.721 7.955 Cl
1.191 9.240 2.689 Cl
1.196 1.984 2.922 Cl
3.879 7.530 5.699 Cl
3.884 3.695 5.933 Cl
5.347 0.176 0.666 Cl
-0.319 10.845 5.311 O
0.530 7.225 5.124 O
0.693 4.083 5.203 O
4.382 9.629 3.419 O
4.545 1.679 3.497 O
5.394 5.300 3.311 O
```


No. 5
For Mn2OF3, a structure optimized by DFT (GGA+U) gives the theoretical powder X-ray diffraction pattern in this record (a wavelength of 1.5418 Å).
Kinematic intensities with the Lorentz-polarization factor, no thermal factor.

Main lines, by intensity (2θ from 5° to 70°):
| hkl | Position (°2θ) | I_rel |
| --- | --- | --- |
| 1 1 2 | 25.1 | 100 |
| -1 1 2 | 26.9 | 90 |
| 1 -1 3 | 33.6 | 73 |
| 1 3 1 | 49.9 | 51 |
| 0 4 3 | 64.6 | 29 |
| 2 -2 1 | 51.8 | 27 |
| 2 0 -5 | 52.0 | 27 |
| 1 1 -3 | 33.7 | 24 |
| 0 2 9 | 64.7 | 22 |
| 2 2 4 | 51.5 | 21 |

Crystal structure
```
Mn2OF3
1.0
4.855 0.000 0.000
0.321 5.812 0.000
0.697 2.806 13.328
Mn O F
10 5 15
Cartesian
0.000 0.000 0.000 Mn
5.539 4.560 10.666 Mn
0.361 4.016 2.630 Mn
0.714 6.308 7.975 Mn
2.914 3.442 8.029 Mn
2.581 1.144 2.695 Mn
3.283 5.710 13.323 Mn
3.286 7.463 10.653 Mn
3.077 5.069 5.220 Mn
5.116 2.344 5.392 Mn
1.702 2.806 1.823 O
2.071 3.289 9.847 O
3.801 3.520 6.196 O
4.160 5.827 11.489 O
3.856 5.248 3.444 O
1.316 3.929 4.504 F
1.722 4.487 12.505 F
1.359 5.699 1.862 F
1.720 6.215 9.849 F
1.399 2.215 7.189 F
1.696 1.016 4.620 F
2.416 7.393 12.519 F
2.104 5.131 7.057 F
3.457 1.224 0.797 F
4.160 7.533 8.790 F
4.524 2.889 11.456 F
4.503 6.454 6.143 F
4.518 4.632 8.798 F
4.168 4.111 0.813 F
4.193 2.360 3.470 F
```


No. 6
For Mn2Nb2Zn2O9, a structure optimized by DFT (GGA+U) gives the theoretical powder X-ray diffraction pattern in this record (a wavelength of 1.5418 Å).
Kinematic intensities with the Lorentz-polarization factor, no thermal factor.

Main lines, by intensity (2θ from 5° to 70°):
| hkl | Position (°2θ) | I_rel |
| --- | --- | --- |
| 1 0 4 | 31.3 | 100 |
| 1 1 0 | 33.7 | 69 |
| 0 2 4 | 46.6 | 37 |
| 2 1 4 | 58.7 | 35 |
| 3 0 0 | 60.2 | 26 |
| 1 1 6 | 50.9 | 22 |
| 0 1 8 | 54.1 | 13 |
| 0 1 2 | 22.8 | 12 |
| 1 0 0 | 19.3 | 12 |
| 1 1 3 | 38.6 | 10 |

Crystal structure
```
Mn2Nb2Zn2O9
1.0
5.323 0.000 0.000
-2.662 4.610 0.000
0.000 0.000 14.586
Mn Nb Zn O
4 4 4 18
Cartesian
0.000 0.000 0.000 Mn
0.000 0.000 7.293 Mn
0.000 3.073 6.872 Mn
0.000 3.073 14.165 Mn
2.662 1.537 1.842 Nb
2.662 1.537 5.021 Nb
2.662 1.537 9.135 Nb
2.662 1.537 12.314 Nb
0.000 0.000 4.078 Zn
0.000 0.000 11.371 Zn
0.000 3.073 2.816 Zn
0.000 3.073 10.109 Zn
-0.937 1.655 1.032 O
-1.697 2.971 8.325 O
1.695 0.100 5.828 O
0.934 1.418 13.121 O
0.937 1.655 8.325 O
-0.760 4.594 1.032 O
1.898 0.217 10.726 O
1.137 1.535 3.433 O
1.697 2.971 1.032 O
0.760 4.594 8.325 O
3.426 0.217 3.433 O
1.900 2.858 10.726 O
3.628 0.100 13.121 O
1.901 3.092 5.828 O
4.187 1.535 10.726 O
3.423 2.858 3.433 O
4.389 1.418 5.828 O
3.422 3.092 13.121 O
```


No. 7
For K4Fe2O5, a structure optimized by DFT (GGA+U) gives the theoretical powder X-ray diffraction pattern in this record (a wavelength of 1.5418 Å).
Kinematic intensities with the Lorentz-polarization factor, no thermal factor.

Main lines, by intensity (2θ from 5° to 70°):
| hkl | Position (°2θ) | I_rel |
| --- | --- | --- |
| 1 2 -1 | 33.2 | 100 |
| 2 1 1 | 35.0 | 83 |
| 0 1 3 | 31.0 | 69 |
| 2 0 -2 | 29.7 | 61 |
| 1 1 -4 | 38.9 | 52 |
| 1 1 2 | 29.4 | 39 |
| 3 2 -3 | 55.0 | 27 |
| 1 0 0 | 14.0 | 27 |
| 1 3 -4 | 58.9 | 25 |
| 1 3 2 | 52.4 | 25 |

Crystal structure
```
K4Fe2O5
1.0
6.523 0.000 0.000
0.000 6.032 0.000
-2.399 0.000 9.868
K Fe O
8 4 10
Cartesian
-0.178 0.542 3.335 K
-1.378 2.474 8.269 K
0.500 3.748 5.104 K
1.700 5.299 0.170 K
2.424 0.733 9.699 K
3.624 2.283 4.764 K
5.502 3.558 1.599 K
4.302 5.490 6.533 K
1.082 0.689 6.468 Fe
2.282 2.327 1.534 Fe
1.842 3.705 8.334 Fe
3.041 5.343 3.400 Fe
-0.533 1.414 5.910 O
0.666 1.602 0.976 O
1.941 3.898 2.665 O
0.742 5.150 7.599 O
2.062 0.000 4.934 O
3.261 3.016 0.000 O
3.382 0.882 2.270 O
2.183 2.134 7.204 O
3.458 4.430 8.892 O
4.657 4.618 3.958 O
```


No. 8
For Tl2Cr2O7, a structure optimized by DFT (GGA+U) gives the theoretical powder X-ray diffraction pattern in this record (a wavelength of 1.5418 Å).
Kinematic intensities with the Lorentz-polarization factor, no thermal factor.

Main lines, by intensity (2θ from 5° to 70°):
| hkl | Position (°2θ) | I_rel |
| --- | --- | --- |
| 0 0 2 | 23.9 | 100 |
| 2 0 -1 | 26.6 | 63 |
| 1 -2 2 | 28.8 | 48 |
| 0 2 0 | 26.3 | 45 |
| 2 0 1 | 30.1 | 42 |
| 1 -2 0 | 24.3 | 41 |
| 1 -1 1 | 16.9 | 34 |
| 0 2 -2 | 28.9 | 32 |
| 2 0 -3 | 41.3 | 21 |
| -1 1 1 | 20.2 | 20 |

Crystal structure
```
Tl2Cr2O7
1.0
7.535 0.000 0.000
-2.798 7.222 0.000
-0.204 -2.720 7.440
Tl Cr O
4 4 14
Cartesian
0.893 -0.628 1.893 Tl
0.568 2.174 5.440 Tl
3.965 2.328 1.999 Tl
3.640 5.130 5.546 Tl
-0.015 3.057 1.816 Cr
2.636 -1.252 5.807 Cr
1.897 5.754 1.633 Cr
4.548 1.445 5.624 Cr
-0.726 2.136 0.673 O
-1.179 3.672 2.787 O
1.430 -0.722 4.823 O
1.007 2.114 2.710 O
1.982 -1.978 7.111 O
0.915 4.371 1.027 O
0.808 4.909 5.019 O
3.726 -0.407 2.421 O
3.618 0.131 6.413 O
2.551 6.480 0.328 O
3.526 2.388 4.730 O
3.103 5.224 2.617 O
5.712 0.830 4.652 O
5.259 2.366 6.766 O
```